Diffraction record for SrCaGa3. The powder diffraction line list is computed, not measured: it uses DFT lattice parameters and positions (GGA-PBE) and Cu Kα.

Atomic structure:
```
data_SrCaGa3
_chemical_formula_sum 'Sr4 Ca4 Ga12'
_cell_length_a 4.685
_cell_length_b 26.297
_cell_length_c 4.309
_cell_angle_alpha 90.00
_cell_angle_beta 90.00
_cell_angle_gamma 90.00
_space_group_name_H-M_alt 'C m c m'
_space_group_IT_number 63
_space_group_name_Hall '-C 2c 2'
loop_
_atom_site_label
_atom_site_type_symbol
_atom_site_fract_x
_atom_site_fract_y
_atom_site_fract_z
_atom_site_occupancy
Sr1 Sr 0.000 0.073 0.250 1
Ca1 Ca 0.000 0.204 0.750 1
Ga1 Ga 0.000 0.327 0.750 1
Ga2 Ga 0.000 0.379 0.250 1
Ga3 Ga 0.000 0.476 0.250 1
```

Most intense lines, 5 to 70 degrees two-theta, by angle:
2θ = 6.72°, rel. 38
2θ = 29.96°, rel. 100
2θ = 30.50°, rel. 52
2θ = 38.43°, rel. 35
2θ = 40.17°, rel. 50
2θ = 56.81°, rel. 35



Diffraction record for Cd8SnPd6. The powder diffraction line list is computed, not measured: it uses DFT lattice parameters and positions (GGA-PBE) and Cu Kα.

Atomic structure:
```
data_Cd8SnPd6
_chemical_formula_sum 'Cd24 Sn3 Pd18'
_cell_length_a 7.9431
_cell_length_b 7.9431
_cell_length_c 16.7718
_cell_angle_alpha 90.00
_cell_angle_beta 90.00
_cell_angle_gamma 120.00
_space_group_name_H-M_alt 'R -3'
_space_group_IT_number 148
_space_group_name_Hall '-R 3'
loop_
_atom_site_label
_atom_site_type_symbol
_atom_site_fract_x
_atom_site_fract_y
_atom_site_fract_z
_atom_site_occupancy
Cd1 Cd 0.0000 0.0000 0.1688 1
Cd2 Cd 0.0019 0.6568 0.3803 1
Sn1 Sn 0.0000 0.0000 0.5000 1
Pd1 Pd 0.0016 0.6751 0.5479 1
```

Most intense lines, 5 to 70 degrees two-theta, by angle:
2θ = 15.85°, rel. 11
2θ = 22.39°, rel. 15
2θ = 27.55°, rel. 23
2θ = 39.29°, rel. 93
2θ = 39.42°, rel. 100
2θ = 56.88°, rel. 33



Diffraction record for Ba5Rh. The powder diffraction line list is computed, not measured: it uses DFT lattice parameters and positions (GGA-PBE) and Cu Kα.

Atomic structure:
```
data_Ba5Rh
_chemical_formula_sum 'Ba10 Rh2'
_cell_length_a 12.511
_cell_length_b 4.597
_cell_length_c 10.688
_cell_angle_alpha 90.00
_cell_angle_beta 90.00
_cell_angle_gamma 90.00
_space_group_name_H-M_alt 'P m m a'
_space_group_IT_number 51
_space_group_name_Hall '-P 2a 2a'
loop_
_atom_site_label
_atom_site_type_symbol
_atom_site_fract_x
_atom_site_fract_y
_atom_site_fract_z
_atom_site_occupancy
Ba1 Ba 0.000 0.000 0.000 1
Ba2 Ba 0.093 0.500 0.310 1
Ba3 Ba 0.250 0.000 0.627 1
Ba4 Ba 0.250 0.500 0.975 1
Rh1 Rh 0.250 0.000 0.172 1
```

Most intense lines, 5 to 70 degrees two-theta, by angle:
2θ = 8.27°, rel. 41
2θ = 24.99°, rel. 51
2θ = 25.45°, rel. 100
2θ = 26.55°, rel. 100
2θ = 27.12°, rel. 47
2θ = 29.34°, rel. 93



Diffraction record for Li2Cd2Hg5. The powder diffraction line list is computed, not measured: it uses DFT lattice parameters and positions (GGA-PBE) and Cu Kα.

Atomic structure:
```
data_Li2Cd2Hg5
_chemical_formula_sum 'Li2 Cd2 Hg5'
_cell_length_a 5.326
_cell_length_b 5.750
_cell_length_c 7.706
_cell_angle_alpha 104.31
_cell_angle_beta 106.26
_cell_angle_gamma 103.33
_space_group_name_H-M_alt 'P -1'
_space_group_IT_number 2
_space_group_name_Hall '-P 1'
loop_
_atom_site_label
_atom_site_type_symbol
_atom_site_fract_x
_atom_site_fract_y
_atom_site_fract_z
_atom_site_occupancy
Li1 Li 0.105 0.208 0.231 1
Cd1 Cd 0.479 0.809 0.322 1
Hg1 Hg 0.133 0.335 0.889 1
Hg2 Hg 0.295 0.604 0.608 1
Hg3 Hg 0.500 0.000 0.000 1
```

Most intense lines, 5 to 70 degrees two-theta, by angle:
2θ = 25.89°, rel. 33
2θ = 29.28°, rel. 29
2θ = 35.16°, rel. 56
2θ = 35.48°, rel. 51
2θ = 36.39°, rel. 100
2θ = 37.25°, rel. 51